(1)
This entry pairs a crystal structure of Sm3InI3 with its simulated powder diffraction line list. Radiation: CuKα. Structure: a cell relaxed with PBE.

Structure:
abc: 12.625 12.625 12.625
angles: 90.00 90.00 90.00
Space group I4_132 (No. 214)
Asymmetric unit:
Sm1 0.115 0.365 0.125 x24
In1 0.125 0.125 0.125 x8
I1 0.119 0.131 0.625 x24

The 8 most intense peaks (2θ = 10–90°), by angle:
- (3 2 1), 26.4°, rel. 124
- (4 0 0), 28.3°, rel. 1000
- (3 3 2), 33.3°, rel. 73
- (4 4 0), 40.4°, rel. 742
- (4 4 4), 50.1°, rel. 259
- (8 0 0), 58.5°, rel. 118
- (8 4 0), 66.2°, rel. 316
- (8 4 4), 73.5°, rel. 228

(2)
This entry pairs a crystal structure of In3SnI6 with its simulated powder diffraction line list. Radiation: CuKα. Structure: a cell relaxed with PBE.

Structure:
abc: 13.408 16.510 8.216
angles: 90.00 90.00 90.00
Space group Cmc2_1 (No. 36)
Asymmetric unit:
In1 0.000 0.045 0.000 x4
In2 0.171 0.377 0.081 x8
Sn1 0.000 0.343 0.600 x4
I1 0.000 0.224 0.934 x4
I2 0.000 0.481 0.346 x4
I3 0.166 0.012 0.260 x8
I4 0.167 0.265 0.430 x8

The 8 most intense peaks (2θ = 10–90°), by angle:
- (2 2 1), 20.2°, rel. 765
- (3 1 1), 23.3°, rel. 651
- (3 3 1), 27.9°, rel. 1000
- (3 1 2), 30.0°, rel. 871
- (0 4 2), 30.7°, rel. 885
- (3 5 1), 35.5°, rel. 698
- (3 1 3), 39.0°, rel. 620
- (6 0 0), 40.4°, rel. 701

(3)
This entry pairs a crystal structure of InSnI4 with its simulated powder diffraction line list. Radiation: CuKα. Structure: a cell relaxed with PBE.

Structure:
abc: 8.801 9.105 12.960
angles: 90.00 90.00 90.00
Space group Imma (No. 74)
Asymmetric unit:
In1 0.250 0.250 0.250 x4
Sn1 0.000 0.000 0.000 x4
I1 0.000 0.001 0.752 x8
I2 0.243 0.250 0.497 x8

The 8 most intense peaks (2θ = 10–90°), by angle:
- (0 1 1), 11.9°, rel. 198
- (0 2 2), 23.9°, rel. 196
- (0 0 4), 27.5°, rel. 532
- (2 2 0), 28.2°, rel. 1000
- (0 4 0), 39.6°, rel. 200
- (2 2 4), 39.8°, rel. 785
- (0 4 4), 48.9°, rel. 216
- (4 0 4), 50.1°, rel. 199

(4)
This entry pairs a crystal structure of SrIn5I7 with its simulated powder diffraction line list. Radiation: CuKα. Structure: a cell relaxed with PBE.

Structure:
abc: 16.823 4.682 29.220
angles: 90.00 90.16 90.00
Space group Cm (No. 8)
Asymmetric unit:
Sr1 0.000 0.000 0.000 x2
Sr2 0.080 0.500 0.501 x2
In1 0.009 0.500 0.821 x2
In2 0.011 0.500 0.178 x2
In3 0.068 0.000 0.678 x2
In4 0.070 0.000 0.321 x2
In5 0.246 0.000 0.897 x2
In6 0.247 0.000 0.102 x2
In7 0.289 0.500 0.749 x2
In8 0.291 0.500 0.250 x2
In9 0.332 0.000 0.602 x2
In10 0.334 0.000 0.397 x2
I1 0.085 0.500 0.069 x2
I2 0.085 0.500 0.931 x2
I3 0.154 0.000 0.790 x2
I4 0.155 0.000 0.209 x2
I5 0.202 0.500 0.637 x2
I6 0.206 0.500 0.361 x2
I7 0.221 0.000 0.500 x2
I8 0.359 0.000 0.999 x2
I9 0.374 0.500 0.861 x2
I10 0.377 0.500 0.138 x2
I11 0.424 0.000 0.709 x2
I12 0.426 0.000 0.291 x2
I13 0.493 0.500 0.569 x2
I14 0.496 0.500 0.430 x2

The 8 most intense peaks (2θ = 10–90°), by angle:
- (2 0 7), 23.8°, rel. 747
- (3 1 2), 25.5°, rel. 882
- (3 1 -3), 26.4°, rel. 1000
- (2 0 8), 26.6°, rel. 493
- (1 1 9), 34.0°, rel. 352
- (5 1 5), 36.3°, rel. 360
- (1 1 -10), 36.6°, rel. 491
- (0 2 0), 38.5°, rel. 446

(5)
This entry pairs a crystal structure of Sr3In5I12 with its simulated powder diffraction line list. Radiation: CuKα. Structure: a cell relaxed with PBE.

Structure:
abc: 14.3692 14.3692 4.8446
angles: 90.00 90.00 120.00
Space group P-62m (No. 189)
Asymmetric unit:
Sr1 0.0000 0.6820 0.0000 x3
In1 0.0000 0.2994 0.5000 x3
In2 0.3333 0.6667 0.5000 x2
I1 0.0000 0.5304 0.5000 x3
I2 0.0000 0.8340 0.5000 x3
I3 0.1895 0.4543 0.0000 x6

The 8 most intense peaks (2θ = 10–90°), by angle:
- (2 0 1), 23.3°, rel. 201
- (3 1 0), 25.8°, rel. 622
- (2 1 1), 26.4°, rel. 1000
- (4 0 0), 28.7°, rel. 215
- (2 2 1), 31.0°, rel. 860
- (3 2 1), 36.5°, rel. 217
- (0 0 2), 37.1°, rel. 316
- (3 1 2), 45.8°, rel. 259

(6)
This entry pairs a crystal structure of Sr2In3I7 with its simulated powder diffraction line list. Radiation: CuKα. Structure: a cell relaxed with PBE.

Structure:
abc: 29.150 8.311 9.168
angles: 90.00 90.00 90.00
Space group Cmc2_1 (No. 36)
Asymmetric unit:
Sr1 0.104 0.249 0.000 x8
In1 0.000 0.227 0.596 x4
In2 0.189 0.249 0.395 x8
I1 0.000 0.396 0.950 x4
I2 0.075 0.077 0.315 x8
I3 0.128 0.421 0.685 x8
I4 0.208 0.110 0.044 x8

The 8 most intense peaks (2θ = 10–90°), by angle:
- (0 2 1), 23.5°, rel. 352
- (7 1 0), 23.9°, rel. 1000
- (2 2 1), 24.3°, rel. 457
- (7 1 1), 25.8°, rel. 392
- (5 1 2), 27.0°, rel. 344
- (8 0 2), 31.3°, rel. 509
- (3 1 3), 32.5°, rel. 383
- (5 3 1), 37.2°, rel. 723

(7)
This entry pairs a crystal structure of TbIn5I8 with its simulated powder diffraction line list. Radiation: CuKα. Structure: a cell relaxed with PBE.

Structure:
abc: 15.400 10.487 11.229
angles: 90.00 132.29 90.00
Space group C2 (No. 5)
Asymmetric unit:
Tb1 0.000 0.000 0.000 x2
In1 0.000 0.725 0.500 x2
In2 0.217 0.508 0.006 x4
In3 0.234 0.267 0.497 x4
I1 0.043 0.001 0.308 x4
I2 0.051 0.524 0.338 x4
I3 0.189 0.209 0.140 x4
I4 0.194 0.805 0.144 x4

The 8 most intense peaks (2θ = 10–90°), by angle:
- (1 1 -1), 11.5°, rel. 913
- (2 2 0), 23.1°, rel. 871
- (2 2 -2), 23.2°, rel. 679
- (4 2 -1), 30.6°, rel. 1000
- (4 2 -3), 30.9°, rel. 582
- (4 0 0), 31.4°, rel. 485
- (0 4 0), 34.2°, rel. 477
- (0 2 3), 36.7°, rel. 941